For LiAcO3, the GGA-PBE geometry in the Materials Project gives the simulated powder XRD pattern in this record (Cu Kα).

Peak list (10 most intense, 10° ≤ 2θ ≤ 90°, low angle first)
- d = 3.919 Å, intensity 100, hkl 1 0 0
- d = 2.771 Å, intensity 94, hkl 1 1 0
- d = 2.263 Å, intensity 57, hkl 1 1 1
- d = 1.960 Å, intensity 30, hkl 2 0 0
- d = 1.753 Å, intensity 47, hkl 2 1 0
- d = 1.600 Å, intensity 39, hkl 2 1 1
- d = 1.386 Å, intensity 18, hkl 2 2 0
- d = 1.306 Å, intensity 23, hkl 3 0 0
- d = 1.239 Å, intensity 17, hkl 3 1 0
- d = 1.182 Å, intensity 20, hkl 3 1 1

Atomic structure:
a = 3.919 Å, b = 3.919 Å, c = 3.919 Å
α = 90.00°, β = 90.00°, γ = 90.00°
Positions (direct):
Li1 0.000 0.000 0.000
Ac1 0.500 0.500 0.500
O1 0.000 0.000 0.500
O2 0.000 0.500 0.000
O3 0.500 0.000 0.000